The following is a theoretical X-ray powder pattern of NdPu3Rh2. It was derived from a GGA-PBE-relaxed structure, using a wavelength of 1.5418 Å.
Neutral-atom scattering factors, no anomalous dispersion.

Crystal structure
```
NdPu3Rh2
1.0
3.889 0.000 0.000
0.000 8.845 0.000
0.000 0.000 8.232
Nd Pu Rh
2 6 4
Direct
0.000 0.087 0.000
0.000 0.913 0.500
0.000 0.299 0.606
0.000 0.701 0.106
0.500 0.201 0.334
0.500 0.429 0.942
0.500 0.571 0.442
0.500 0.799 0.834
0.000 0.397 0.217
0.000 0.603 0.717
0.500 0.109 0.721
0.500 0.891 0.221
```

The 10 most intense peaks (2θ = 10–80°), in order of rising 2θ:
- 2.827 Å, I = 84
- 2.776 Å, I = 67
- 2.752 Å, I = 98
- 2.692 Å, I = 100
- 2.621 Å, I = 50
- 2.332 Å, I = 36
- 2.259 Å, I = 56
- 1.944 Å, I = 44
- 1.574 Å, I = 37
- 1.494 Å, I = 49

---

The following is a theoretical X-ray powder pattern of Nd3PuRh8. It was derived from a GGA-PBE-relaxed structure, using a wavelength of 1.5418 Å.
Neutral-atom scattering factors, no anomalous dispersion.

Crystal structure
```
Nd3PuRh8
1.0
2.698 1.558 8.827
-2.698 1.558 8.827
0.000 -3.115 8.827
Nd Pu Rh
3 1 8
Direct
0.000 0.000 0.000
0.126 0.126 0.126
0.502 0.502 0.502
0.626 0.626 0.626
0.061 0.564 0.564
0.064 0.064 0.565
0.064 0.565 0.064
0.313 0.313 0.313
0.564 0.061 0.564
0.564 0.564 0.061
0.565 0.064 0.064
0.814 0.814 0.814
```

The 10 most intense peaks (2θ = 10–80°), in order of rising 2θ:
- 8.827 Å, I = 2
- 4.602 Å, I = 1
- 2.700 Å, I = 43
- 2.302 Å, I = 100
- 2.204 Å, I = 26
- 1.559 Å, I = 17
- 1.470 Å, I = 20
- 1.469 Å, I = 12
- 1.350 Å, I = 26
- 1.207 Å, I = 7

---

The following is a theoretical X-ray powder pattern of NdPuRuRh. It was derived from a GGA-PBE-relaxed structure, using a wavelength of 1.5418 Å.
Neutral-atom scattering factors, no anomalous dispersion.

Crystal structure
```
NdPuRuRh
1.0
0.000 3.464 3.464
3.464 0.000 3.464
3.464 3.464 0.000
Nd Pu Ru Rh
1 1 1 1
Direct
0.000 0.000 0.000
0.500 0.500 0.500
0.250 0.250 0.250
0.750 0.750 0.750
```

The 10 most intense peaks (2θ = 10–80°), in order of rising 2θ:
- 4.000 Å, I = 5
- 3.464 Å, I = 10
- 2.449 Å, I = 100
- 2.089 Å, I = 3
- 2.000 Å, I = 3
- 1.732 Å, I = 18
- 1.589 Å, I = 1
- 1.549 Å, I = 4
- 1.414 Å, I = 36
- 1.225 Å, I = 11

---

The following is a theoretical X-ray powder pattern of NdPu6S8. It was derived from a GGA-PBE-relaxed structure, using a wavelength of 1.5418 Å.
Neutral-atom scattering factors, no anomalous dispersion.

Crystal structure
```
NdPu6S8
1.0
0.000 5.624 5.624
5.624 0.000 5.624
5.624 5.624 0.000
Nd Pu S
1 6 8
Direct
0.000 0.000 0.000
0.000 0.000 0.500
0.000 0.500 0.000
0.000 0.500 0.500
0.500 0.000 0.000
0.500 0.000 0.500
0.500 0.500 0.000
0.250 0.250 0.250
0.252 0.252 0.748
0.252 0.748 0.252
0.252 0.748 0.748
0.748 0.252 0.252
0.748 0.252 0.748
0.748 0.748 0.252
0.750 0.750 0.750
```

The 10 most intense peaks (2θ = 10–80°), in order of rising 2θ:
- 5.624 Å, I = 16
- 3.977 Å, I = 15
- 3.247 Å, I = 94
- 2.812 Å, I = 100
- 1.988 Å, I = 74
- 1.696 Å, I = 48
- 1.623 Å, I = 26
- 1.406 Å, I = 12
- 1.290 Å, I = 20
- 1.258 Å, I = 34

---

The following is a theoretical X-ray powder pattern of Nd4PuS4. It was derived from a GGA-PBE-relaxed structure, using a wavelength of 1.5418 Å.
Neutral-atom scattering factors, no anomalous dispersion.

Crystal structure
```
Nd4PuS4
1.0
-4.494 4.494 2.866
4.494 -4.494 2.866
4.494 4.494 -2.866
Nd Pu S
4 1 4
Direct
0.101 0.699 0.800
0.301 0.101 0.402
0.699 0.899 0.598
0.899 0.301 0.200
0.500 0.500 0.000
0.203 0.403 0.606
0.403 0.797 0.200
0.597 0.203 0.800
0.797 0.597 0.394
```

The 10 most intense peaks (2θ = 10–80°), in order of rising 2θ:
- 3.291 Å, I = 100
- 2.866 Å, I = 34
- 2.842 Å, I = 66
- 2.018 Å, I = 49
- 2.010 Å, I = 24
- 1.726 Å, I = 17
- 1.715 Å, I = 32
- 1.646 Å, I = 25
- 1.309 Å, I = 13
- 1.280 Å, I = 11

---

The following is a theoretical X-ray powder pattern of NdPu4S6. It was derived from a GGA-PBE-relaxed structure, using a wavelength of 1.5418 Å.
Neutral-atom scattering factors, no anomalous dispersion.

Crystal structure
```
NdPu4S6
1.0
1.968 -6.583 0.000
1.968 6.583 0.000
0.000 0.000 20.050
Nd Pu S
2 8 12
Direct
0.151 0.849 0.750
0.849 0.151 0.250
0.095 0.905 0.130
0.095 0.905 0.370
0.363 0.637 0.043
0.363 0.637 0.457
0.637 0.363 0.543
0.637 0.363 0.957
0.905 0.095 0.630
0.905 0.095 0.870
0.000 0.000 0.000
0.000 0.000 0.500
0.194 0.806 0.250
0.273 0.727 0.584
0.273 0.727 0.916
0.455 0.545 0.167
0.455 0.545 0.333
0.545 0.455 0.667
0.545 0.455 0.833
0.727 0.273 0.084
0.727 0.273 0.416
0.806 0.194 0.750
```

The 10 most intense peaks (2θ = 10–80°), in order of rising 2θ:
- 3.530 Å, I = 29
- 3.425 Å, I = 100
- 3.288 Å, I = 80
- 2.900 Å, I = 30
- 2.813 Å, I = 54
- 2.684 Å, I = 48
- 2.087 Å, I = 34
- 2.006 Å, I = 33
- 1.924 Å, I = 25
- 1.706 Å, I = 29